Li4Cr3Co3W2O16: simulated XRD peak list (Cu Kα, 1.54184 Å), based on a PBE+U-relaxed structure.
No peak broadening, texture or thermal motion is included.

Structure:
```
data_Li4Cr3Co3W2O16
_chemical_formula_sum 'Li8 Cr6 Co6 W4 O32'
_symmetry_space_group_name_H-M 'C 1 m 1'
_symmetry_Int_Tables_number 8
_cell_length_a 10.2849
_cell_length_b 5.9516
_cell_length_c 9.6737
_cell_angle_alpha 90.00
_cell_angle_beta 90.49
_cell_angle_gamma 90.00
loop_
_symmetry_equiv_pos_as_xyz
'x,y,z'
'x,-y,z'
'x+1/2,y+1/2,z'
'x+1/2,-y+1/2,z'
loop_
_atom_site_label
_atom_site_fract_x
_atom_site_fract_y
_atom_site_fract_z
Li1 0.0000 0.0000 0.0000
Li2 0.9998 0.0000 0.4932
Li3 0.1735 0.5000 0.4158
Li4 0.3378 0.0000 0.9101
Cr1 0.0864 0.2525 0.7198
Cr2 0.1747 0.0000 0.2207
Co1 0.3306 0.5000 0.7204
Co2 0.4193 0.2412 0.2211
W1 0.1721 0.5000 0.9939
W2 0.3358 0.0000 0.4933
O1 0.0025 0.0000 0.3056
O2 0.0235 0.5000 0.8487
O3 0.0978 0.2538 0.0904
O4 0.1701 0.0000 0.6042
O5 0.1713 0.5000 0.6190
O6 0.2451 0.2846 0.8440
O7 0.2549 0.2141 0.3613
O8 0.3311 0.5000 0.0856
O9 0.3370 0.0000 0.1156
O10 0.4114 0.2514 0.6033
O11 0.4856 0.0000 0.3773
O12 0.4975 0.5000 0.8122
```

Peak list (6 most intense, 10° ≤ 2θ ≤ 90°, low angle first)
hkl 1 1 1, 19.52 deg, I = 100; hkl 2 0 1, 19.62 deg, I = 20; hkl 2 0 -3, 32.68 deg, I = 21; hkl 1 1 3, 32.86 deg, I = 21; hkl 0 2 2, 35.38 deg, I = 37; hkl 4 0 -1, 36.08 deg, I = 24